No. 1
CaEr2Tl: theoretical powder diffractogram (λ = 1.5418 Å (Cu Kα)), based on a structure optimized by DFT (PBE).
Lines closer than 0.1° are merged.

Principal peaks in the range 2θ = 5–70°, in order of falling intensity:
2theta  I (rel.)
31.79  100
36.72  34
63.06  28
53.25  23
37.17  16
18.12  14
63.67  14
25.90  12
66.43  12
52.91  12

Atomic structure:
```
CaEr2Tl
1.0
4.895 0.000 0.000
0.000 4.895 0.000
0.000 0.000 4.837
Ca Er Tl
1 2 1
direct
0.000 0.000 0.000
0.000 0.500 0.500
0.500 0.000 0.500
0.500 0.500 0.000
```

No. 2
CaY6Er12: theoretical powder diffractogram (λ = 1.5418 Å (Cu Kα)), based on a structure optimized by DFT (PBE).
Lines closer than 0.1° are merged.

Principal peaks in the range 2θ = 5–70°, in order of falling intensity:
2theta  I (rel.)
26.15  100
31.14  92
34.90  67
38.88  64
29.33  62
19.03  49
33.90  43
37.50  35
31.36  34
61.42  28

Atomic structure:
```
CaY6Er12
1.0
7.548 4.358 3.328
-7.548 4.358 3.328
0.000 -8.716 3.328
Ca Y Er
1 6 12
direct
0.000 0.000 0.000
0.266 0.682 0.682
0.318 0.318 0.734
0.318 0.734 0.318
0.682 0.266 0.682
0.682 0.682 0.266
0.734 0.318 0.318
0.110 0.500 0.890
0.110 0.890 0.500
0.139 0.357 0.357
0.357 0.139 0.357
0.357 0.357 0.139
0.500 0.110 0.890
0.500 0.890 0.110
0.643 0.643 0.861
0.643 0.861 0.643
0.861 0.643 0.643
0.890 0.110 0.500
0.890 0.500 0.110
```